No. 1
For NdHoPBr2, a DFT-relaxed cell (GGA-PBE, OQMD) gives the simulated powder diffraction line list in this record (a wavelength of 1.5418 Å).

Cell and atoms:
abc: 4.0666 4.0666 10.5213
angles: 90.00 90.00 120.00
Atoms (fractional coordinates):
Nd 0.0000 0.0000 0.0000
Ho 0.6667 0.3333 0.2956
P 0.3333 0.6667 0.1571
Br 0.0000 0.0000 0.4654
Br 0.6667 0.3333 0.8184

Largest 10 diffraction maxima, by intensity, 2θ = 5–70°:
- 30.55 deg, rel. 100
- 8.40 deg, rel. 44
- 42.92 deg, rel. 30
- 44.56 deg, rel. 29
- 25.29 deg, rel. 22
- 54.99 deg, rel. 19
- 16.85 deg, rel. 11
- 63.59 deg, rel. 10
- 36.15 deg, rel. 10
- 57.27 deg, rel. 8

***

No. 2
For CsTe7Mo6, a DFT-relaxed cell (GGA-PBE, OQMD) gives the simulated powder diffraction line list in this record (a wavelength of 1.5418 Å).

Cell and atoms:
abc: 10.4457 10.4457 10.4457
angles: 59.55 59.55 59.55
Atoms (fractional coordinates):
Cs 0.1223 0.1223 0.1223
Cs 0.8777 0.8777 0.8777
Te 0.0743 0.7016 0.3333
Te 0.1269 0.4841 0.7476
Te 0.2524 0.8731 0.5159
Te 0.2762 0.2762 0.2762
Te 0.2984 0.6667 0.9257
Te 0.3333 0.0743 0.7016
Te 0.4841 0.7476 0.1269
Te 0.5159 0.2524 0.8731
Te 0.6667 0.9257 0.2984
Te 0.7016 0.3333 0.0743
Te 0.7238 0.7238 0.7238
Te 0.7476 0.1269 0.4841
Te 0.8731 0.5159 0.2524
Te 0.9257 0.2984 0.6667
Mo 0.2082 0.3832 0.5020
Mo 0.3127 0.6121 0.4426
Mo 0.3832 0.5020 0.2082
Mo 0.3879 0.5574 0.6873
Mo 0.4426 0.3127 0.6121
Mo 0.4980 0.7918 0.6168
Mo 0.5020 0.2082 0.3832
Mo 0.5574 0.6873 0.3879
Mo 0.6121 0.4426 0.3127
Mo 0.6168 0.4980 0.7918
Mo 0.6873 0.3879 0.5574
Mo 0.7918 0.6168 0.4980

Largest 10 diffraction maxima, by intensity, 2θ = 5–70°:
- 10.43 deg, rel. 100
- 40.68 deg, rel. 72
- 27.01 deg, rel. 53
- 29.83 deg, rel. 45
- 47.54 deg, rel. 25
- 42.24 deg, rel. 21
- 31.56 deg, rel. 21
- 36.22 deg, rel. 19
- 50.81 deg, rel. 14
- 38.77 deg, rel. 13

***

No. 3
For ZrN2, a DFT-relaxed cell (GGA-PBE, OQMD) gives the simulated powder diffraction line list in this record (a wavelength of 1.5418 Å).

Cell and atoms:
abc: 5.0418 5.0418 3.3464
angles: 90.00 90.00 90.00
Atoms (fractional coordinates):
Zr 0.0000 0.0000 0.0000
Zr 0.5000 0.5000 0.5000
N 0.1984 0.1984 0.5000
N 0.3016 0.6984 0.0000
N 0.6984 0.3016 0.0000
N 0.8016 0.8016 0.5000

Largest 10 diffraction maxima, by intensity, 2θ = 5–70°:
- 24.98 deg, rel. 100
- 32.10 deg, rel. 79
- 48.70 deg, rel. 66
- 35.61 deg, rel. 21
- 61.77 deg, rel. 20
- 51.25 deg, rel. 17
- 57.83 deg, rel. 15
- 61.19 deg, rel. 15
- 54.87 deg, rel. 8
- 67.15 deg, rel. 7

***

No. 4
For HoHfCu2Sn2, a DFT-relaxed cell (GGA-PBE, OQMD) gives the simulated powder diffraction line list in this record (a wavelength of 1.5418 Å).

Cell and atoms:
abc: 4.4932 4.4932 6.8500
angles: 90.00 90.00 120.00
Atoms (fractional coordinates):
Ho 0.0000 0.0000 0.0000
Hf 0.0000 0.0000 0.4988
Cu 0.3333 0.6667 0.3310
Cu 0.6667 0.3333 0.7994
Sn 0.3333 0.6667 0.7306
Sn 0.6667 0.3333 0.2474

Largest 10 diffraction maxima, by intensity, 2θ = 5–70°:
- 34.90 deg, rel. 100
- 40.14 deg, rel. 69
- 54.22 deg, rel. 29
- 69.56 deg, rel. 27
- 68.95 deg, rel. 18
- 22.85 deg, rel. 12
- 26.34 deg, rel. 11
- 46.09 deg, rel. 9
- 53.51 deg, rel. 6
- 58.92 deg, rel. 5

***

No. 5
For Re5Ni8, a DFT-relaxed cell (GGA-PBE, OQMD) gives the simulated powder diffraction line list in this record (a wavelength of 1.5418 Å).

Cell and atoms:
abc: 9.0069 9.0069 9.0069
angles: 29.94 29.94 29.94
Atoms (fractional coordinates):
Re 0.0000 0.0000 0.0000
Re 0.3509 0.3509 0.3509
Re 0.4532 0.4532 0.4532
Re 0.5468 0.5468 0.5468
Re 0.6491 0.6491 0.6491
Ni 0.0885 0.0885 0.5827
Ni 0.0885 0.5827 0.0885
Ni 0.1657 0.1657 0.1657
Ni 0.4173 0.9115 0.9115
Ni 0.5827 0.0885 0.0885
Ni 0.8343 0.8343 0.8343
Ni 0.9115 0.4173 0.9115
Ni 0.9115 0.9115 0.4173

Largest 10 diffraction maxima, by intensity, 2θ = 5–70°:
- 38.71 deg, rel. 100
- 44.72 deg, rel. 73
- 44.27 deg, rel. 71
- 41.57 deg, rel. 48
- 50.54 deg, rel. 41
- 45.14 deg, rel. 33
- 10.29 deg, rel. 32
- 23.13 deg, rel. 27
- 22.33 deg, rel. 21
- 48.51 deg, rel. 20

***

No. 6
For Zr4Cd3, a DFT-relaxed cell (GGA-PBE, OQMD) gives the simulated powder diffraction line list in this record (a wavelength of 1.5418 Å).

Cell and atoms:
abc: 8.4664 8.4664 4.9802
angles: 90.00 90.00 120.00
Atoms (fractional coordinates):
Zr 0.0988 0.4710 0.2500
Zr 0.3333 0.6667 0.7500
Zr 0.3723 0.9012 0.2500
Zr 0.4710 0.3723 0.7500
Zr 0.5290 0.6277 0.2500
Zr 0.6277 0.0988 0.7500
Zr 0.6667 0.3333 0.2500
Zr 0.9012 0.5290 0.7500
Cd 0.0474 0.2354 0.7500
Cd 0.1880 0.9526 0.7500
Cd 0.2354 0.1880 0.2500
Cd 0.7646 0.8120 0.7500
Cd 0.8120 0.0474 0.2500
Cd 0.9526 0.7646 0.2500

Largest 10 diffraction maxima, by intensity, 2θ = 5–70°:
- 37.13 deg, rel. 100
- 32.30 deg, rel. 24
- 36.07 deg, rel. 24
- 69.88 deg, rel. 19
- 65.55 deg, rel. 18
- 57.61 deg, rel. 18
- 49.19 deg, rel. 15
- 67.61 deg, rel. 3
- 12.07 deg, rel. 2
- 41.14 deg, rel. 1

***

No. 7
For Rb2CdSnCl6, a DFT-relaxed cell (GGA-PBE, OQMD) gives the simulated powder diffraction line list in this record (a wavelength of 1.5418 Å).

Cell and atoms:
abc: 7.6333 7.6333 7.6333
angles: 120.38 120.38 89.35
Atoms (fractional coordinates):
Rb 0.2500 0.7500 0.5000
Rb 0.7500 0.2500 0.5000
Cd 0.0000 0.0000 0.0000
Sn 0.5000 0.5000 0.0000
Cl 0.2433 0.2433 0.0000
Cl 0.2436 0.2436 0.4873
Cl 0.2436 0.7564 0.0000
Cl 0.7564 0.2436 0.0000
Cl 0.7564 0.7564 0.5127
Cl 0.7567 0.7567 0.0000

Largest 10 diffraction maxima, by intensity, 2θ = 5–70°:
- 23.31 deg, rel. 100
- 33.39 deg, rel. 70
- 23.44 deg, rel. 49
- 47.66 deg, rel. 48
- 41.12 deg, rel. 46
- 33.00 deg, rel. 36
- 59.44 deg, rel. 24
- 47.94 deg, rel. 24
- 40.88 deg, rel. 24
- 54.00 deg, rel. 21

***

No. 8
For Hf2NiBi2Os, a DFT-relaxed cell (GGA-PBE, OQMD) gives the simulated powder diffraction line list in this record (a wavelength of 1.5418 Å).

Cell and atoms:
abc: 7.7767 7.7767 7.7767
angles: 131.63 131.63 70.81
Atoms (fractional coordinates):
Hf 0.1204 0.1250 0.4954
Hf 0.3750 0.8796 0.0046
Hf 0.6296 0.6250 0.5046
Hf 0.8750 0.3704 0.9954
Ni 0.2500 0.7500 0.5000
Ni 0.5000 0.5000 0.0000
Bi 0.1378 0.6250 0.0128
Bi 0.3750 0.3878 0.5128
Bi 0.6122 0.1250 0.9872
Bi 0.8750 0.8622 0.4872
Os 0.0000 0.0000 0.0000
Os 0.7500 0.2500 0.5000

Largest 10 diffraction maxima, by intensity, 2θ = 5–70°:
- 40.13 deg, rel. 100
- 40.03 deg, rel. 50
- 28.01 deg, rel. 32
- 24.24 deg, rel. 24
- 57.89 deg, rel. 17
- 28.16 deg, rel. 16
- 49.65 deg, rel. 14
- 65.56 deg, rel. 12
- 58.22 deg, rel. 9
- 47.34 deg, rel. 8

***

No. 9
For Cu14Te, a DFT-relaxed cell (GGA-PBE, OQMD) gives the simulated powder diffraction line list in this record (a wavelength of 1.5418 Å).

Cell and atoms:
abc: 4.3993 5.6169 27.5144
angles: 89.50 89.78 75.53
Atoms (fractional coordinates):
Cu 0.9999 0.2475 0.0616
Cu 0.0001 0.7525 0.9384
Cu 0.0072 0.2413 0.8143
Cu 0.1397 0.3269 0.9034
Cu 0.1442 0.8207 0.0260
Cu 0.1451 0.8122 0.7800
Cu 0.1474 0.3157 0.1505
Cu 0.2816 0.8909 0.1150
Cu 0.2866 0.3927 0.9918
Cu 0.2873 0.8956 0.8677
Cu 0.2917 0.3989 0.2379
Cu 0.4260 0.9634 0.2058
Cu 0.4289 0.9680 0.9554
Cu 0.4300 0.4617 0.0795
Cu 0.4321 0.4609 0.8340
Cu 0.5679 0.5391 0.1660
Cu 0.5700 0.5383 0.9205
Cu 0.5711 0.0320 0.0446
Cu 0.5740 0.0366 0.7942
Cu 0.7083 0.6011 0.7621
Cu 0.7127 0.1044 0.1323
Cu 0.7134 0.6073 0.0082
Cu 0.7184 0.1091 0.8850
Cu 0.8526 0.6843 0.8495
Cu 0.8549 0.1878 0.2200
Cu 0.8558 0.1793 0.9740
Cu 0.8603 0.6731 0.0966
Cu 0.9928 0.7587 0.1857
Te 0.2750 0.3882 0.7320
Te 0.7250 0.6118 0.2680

Largest 10 diffraction maxima, by intensity, 2θ = 5–70°:
- 43.71 deg, rel. 100
- 42.93 deg, rel. 51
- 43.38 deg, rel. 49
- 6.43 deg, rel. 46
- 9.64 deg, rel. 45
- 49.93 deg, rel. 32
- 50.36 deg, rel. 31
- 43.87 deg, rel. 31
- 51.47 deg, rel. 30
- 39.79 deg, rel. 21

***

No. 10
For Hf2Hg3Pd, a DFT-relaxed cell (GGA-PBE, OQMD) gives the simulated powder diffraction line list in this record (a wavelength of 1.5418 Å).

Cell and atoms:
abc: 3.4066 3.4066 10.4750
angles: 90.00 90.00 90.00
Atoms (fractional coordinates):
Hf 0.0000 0.0000 0.0000
Hf 0.5000 0.5000 0.4554
Hg 0.0000 0.0000 0.6303
Hg 0.5000 0.5000 0.1655
Hg 0.5000 0.5000 0.8158
Pd 0.0000 0.0000 0.3235

Largest 10 diffraction maxima, by intensity, 2θ = 5–70°:
- 36.86 deg, rel. 100
- 37.33 deg, rel. 54
- 67.02 deg, rel. 35
- 53.82 deg, rel. 19
- 66.10 deg, rel. 13
- 31.32 deg, rel. 10
- 52.41 deg, rel. 7
- 58.38 deg, rel. 6
- 43.18 deg, rel. 4
- 63.61 deg, rel. 3

***

No. 11
For NaNbO3, a DFT-relaxed cell (GGA-PBE, OQMD) gives the simulated powder diffraction line list in this record (a wavelength of 1.5418 Å).

Cell and atoms:
abc: 5.9988 5.9988 5.9988
angles: 53.17 53.17 53.17
Atoms (fractional coordinates):
Na 0.1413 0.1413 0.1413
Na 0.8587 0.8587 0.8587
Nb 0.3527 0.3527 0.3527
Nb 0.6473 0.6473 0.6473
O 0.0612 0.4698 0.6911
O 0.3089 0.9388 0.5302
O 0.4698 0.6911 0.0612
O 0.5302 0.3089 0.9388
O 0.6911 0.0612 0.4698
O 0.9388 0.5302 0.3089

Largest 10 diffraction maxima, by intensity, 2θ = 5–70°:
- 30.13 deg, rel. 100
- 17.27 deg, rel. 81
- 33.37 deg, rel. 74
- 19.94 deg, rel. 72
- 37.81 deg, rel. 59
- 49.09 deg, rel. 56
- 45.58 deg, rel. 52
- 57.65 deg, rel. 47
- 22.33 deg, rel. 34
- 59.65 deg, rel. 30

***

No. 12
For Na2AcNb4, a DFT-relaxed cell (GGA-PBE, OQMD) gives the simulated powder diffraction line list in this record (a wavelength of 1.5418 Å).

Cell and atoms:
abc: 3.1597 3.1597 19.6577
angles: 90.00 90.00 120.00
Atoms (fractional coordinates):
Na 0.3333 0.6667 0.1971
Na 0.6667 0.3333 0.8029
Ac 0.0000 0.0000 0.5000
Nb 0.3333 0.6667 0.3531
Nb 0.3333 0.6667 0.9512
Nb 0.6667 0.3333 0.0488
Nb 0.6667 0.3333 0.6469

Largest 10 diffraction maxima, by intensity, 2θ = 5–70°:
- 9.00 deg, rel. 100
- 35.55 deg, rel. 39
- 40.15 deg, rel. 39
- 33.05 deg, rel. 31
- 34.01 deg, rel. 30
- 37.62 deg, rel. 21
- 31.87 deg, rel. 21
- 49.88 deg, rel. 17
- 58.42 deg, rel. 15
- 68.10 deg, rel. 13